Entry 1:
# H2Os3C10O10
Theoretical XRD peak list, Cu Kα (weighted mean of Kα1 and Kα2). Input: the GGA-PBE geometry in the Materials Project.
Kinematic intensities with the Lorentz-polarization factor, no thermal factor.

Top 8 peaks for 15 to 90 degrees two-theta, by angle:
d (Å)	2θ (°)	I (rel.)	hkl
5.876	15.08	100	0 0 2
4.849	18.30	48	-1 1 2
4.283	20.74	17	1 0 2
3.780	23.53	21	1 0 -3
2.942	30.38	28	2 0 2
2.849	31.40	25	2 -3 1
2.818	31.75	38	-1 1 4
1.981	45.80	16	2 2 -4

Atomic structure:
Lattice parameters (Å, degrees): 8.680 9.206 11.967 91.53 98.86 117.33
Space group P-1 (No. 2)
Inequivalent atoms, fractional coordinates:
H: 0.006 0.130 0.309 (multiplicity 2)
H: 0.024 0.060 0.120 (multiplicity 2)
Os: 0.024 0.951 0.249 (multiplicity 2)
Os: 0.114 0.265 0.203 (multiplicity 2)
Os: 0.392 0.186 0.289 (multiplicity 2)
C: 0.053 0.868 0.390 (multiplicity 2)
C: 0.063 0.787 0.179 (multiplicity 2)
C: 0.102 0.732 0.857 (multiplicity 2)
C: 0.208 0.461 0.304 (multiplicity 2)
C: 0.231 0.168 0.784 (multiplicity 2)
C: 0.242 0.388 0.092 (multiplicity 2)
C: 0.354 0.249 0.435 (multiplicity 2)
C: 0.371 0.120 0.128 (multiplicity 2)
C: 0.390 0.616 0.704 (multiplicity 2)
C: 0.485 0.044 0.345 (multiplicity 2)
O: 0.073 0.820 0.477 (multiplicity 2)
O: 0.089 0.688 0.135 (multiplicity 2)
O: 0.229 0.724 0.895 (multiplicity 2)
O: 0.253 0.501 0.698 (multiplicity 2)
O: 0.260 0.577 0.369 (multiplicity 2)
O: 0.316 0.458 0.022 (multiplicity 2)
O: 0.332 0.288 0.522 (multiplicity 2)
O: 0.357 0.079 0.033 (multiplicity 2)
O: 0.383 0.243 0.802 (multiplicity 2)
O: 0.456 0.041 0.621 (multiplicity 2)

Entry 2:
# Sr3Li
Theoretical XRD peak list, Cu Kα (weighted mean of Kα1 and Kα2). Input: the GGA-PBE geometry in the Materials Project.
Kinematic intensities with the Lorentz-polarization factor, no thermal factor.

Top 8 peaks for 15 to 90 degrees two-theta, by angle:
d (Å)	2θ (°)	I (rel.)	hkl
4.809	18.45	31	1 0 1
3.513	25.35	23	2 0 0
3.298	27.03	26	0 0 2
3.101	28.79	100	2 0 1
2.028	44.68	20	2 2 0
1.864	48.86	23	2 0 3
1.728	53.00	24	2 2 2
1.697	54.02	17	4 0 1

Atomic structure:
Lattice parameters (Å, degrees): 8.1130 8.1130 6.5970 90.00 90.00 120.00
Space group P6_3/mmc (No. 194)
Inequivalent atoms, fractional coordinates:
Sr: 0.1698 0.3395 0.2500 (multiplicity 6)
Li: 0.3333 0.6667 0.7500 (multiplicity 2)